Simulated PXRD pattern of Pr2NdTaN4 for Cu Kα (λ = 1.5418 Å), from DFT lattice parameters and positions (GGA-PBE).
Lines closer than 0.1° are merged.

Crystal structure
Lattice parameters (Å, degrees): 6.9170 7.1147 9.9057 90.00 90.00 90.00
Space group Imma (No. 74)
Inequivalent atoms, fractional coordinates:
1 Pr 0.0000 0.0000 0.0000
2 Pr 0.2500 0.2500 0.2500
3 Nd 0.0000 0.0000 0.5000
4 Ta 0.2500 0.2500 0.7500
5 N 0.0000 0.0403 0.7492
6 N 0.2482 0.2500 0.5310

Peak list (8 most intense, 2θ = 15–90°, by intensity)
two_theta  I (rel.)  h k l
36.24  1000  2 2 0
30.95  729  0 2 2
31.55  685  2 0 2
52.20  452  2 2 4
61.55  222  2 4 2
62.60  206  4 2 2
88.15  199  4 4 4
51.37  118  0 4 0